Entry 1:
For La7Pr16Tm6, a GGA-PBE-relaxed structure gives the theoretical X-ray diffraction stick pattern in this record (λ = 1.5418 Å (Cu Kα)).
Neutral-atom scattering factors, no anomalous dispersion.

Structure:
Cell lengths 11.4997, 11.4997, 11.4997 Å; angles 60.00, 60.00, 60.00 degrees
Sites, in units of the cell vectors:
1 La 0.0000 0.0000 0.0000
2 La 0.0000 0.0000 0.5000
3 La 0.0000 0.5000 0.0000
4 La 0.0000 0.5000 0.5000
5 La 0.5000 0.0000 0.0000
6 La 0.5000 0.0000 0.5000
7 La 0.5000 0.5000 0.0000
8 Pr 0.0440 0.6520 0.6520
9 Pr 0.1262 0.1262 0.1262
10 Pr 0.1262 0.1262 0.6215
11 Pr 0.1262 0.6215 0.1262
12 Pr 0.3480 0.3480 0.3480
13 Pr 0.3480 0.3480 0.9560
14 Pr 0.3480 0.9560 0.3480
15 Pr 0.3785 0.8738 0.8738
16 Pr 0.6215 0.1262 0.1262
17 Pr 0.6520 0.0440 0.6520
18 Pr 0.6520 0.6520 0.0440
19 Pr 0.6520 0.6520 0.6520
20 Pr 0.8738 0.3785 0.8738
21 Pr 0.8738 0.8738 0.3785
22 Pr 0.8738 0.8738 0.8738
23 Pr 0.9560 0.3480 0.3480
24 Tm 0.2595 0.2595 0.7405
25 Tm 0.2595 0.7405 0.2595
26 Tm 0.2595 0.7405 0.7405
27 Tm 0.7405 0.2595 0.2595
28 Tm 0.7405 0.2595 0.7405
29 Tm 0.7405 0.7405 0.2595

Principal peaks in the range 10 to 90 degrees two-theta, by angle:
24.48°, 3.637 Å, I 7
26.86°, 3.320 Å, I 7
28.52°, 3.130 Å, I 8
31.11°, 2.875 Å, I 100
32.57°, 2.749 Å, I 6
34.89°, 2.571 Å, I 6
44.57°, 2.033 Å, I 14
55.35°, 1.660 Å, I 28
64.87°, 1.437 Å, I 8
73.68°, 1.286 Å, I 8

Entry 2:
For LiMg3, a GGA-PBE-relaxed structure gives the theoretical X-ray diffraction stick pattern in this record (λ = 1.5418 Å (Cu Kα)).
Neutral-atom scattering factors, no anomalous dispersion.

Structure:
Cell lengths 4.9635, 4.9635, 4.9635 Å; angles 60.00, 60.00, 60.00 degrees
Sites, in units of the cell vectors:
1 Li 0.0000 0.0000 0.0000
2 Mg 0.2500 0.2500 0.2500
3 Mg 0.5000 0.5000 0.5000
4 Mg 0.7500 0.7500 0.7500

Principal peaks in the range 10 to 90 degrees two-theta, by angle:
21.93°, 4.053 Å, I 16
25.38°, 3.510 Å, I 8
36.20°, 2.482 Å, I 100
42.72°, 2.116 Å, I 8
52.12°, 1.755 Å, I 17
57.20°, 1.610 Å, I 3
58.83°, 1.570 Å, I 3
65.10°, 1.433 Å, I 33
76.82°, 1.241 Å, I 10
87.99°, 1.110 Å, I 13

Entry 3:
For TiIn2Ni2, a GGA-PBE-relaxed structure gives the theoretical X-ray diffraction stick pattern in this record (λ = 1.5418 Å (Cu Kα)).
Neutral-atom scattering factors, no anomalous dispersion.

Structure:
Cell lengths 7.2187, 7.2187, 3.1226 Å; angles 90.00, 90.00, 90.00 degrees
Sites, in units of the cell vectors:
1 Ti 0.0000 0.0000 0.0000
2 Ti 0.5000 0.5000 0.0000
3 In 0.1675 0.3325 0.5000
4 In 0.3325 0.8325 0.5000
5 In 0.6675 0.1675 0.5000
6 In 0.8325 0.6675 0.5000
7 Ni 0.1296 0.6296 0.0000
8 Ni 0.3704 0.1296 0.0000
9 Ni 0.6296 0.8704 0.0000
10 Ni 0.8704 0.3704 0.0000

Principal peaks in the range 10 to 90 degrees two-theta, by angle:
17.37°, 5.104 Å, I 14
27.63°, 3.228 Å, I 12
38.11°, 2.362 Å, I 20
39.48°, 2.283 Å, I 39
40.18°, 2.244 Å, I 100
53.88°, 1.701 Å, I 10
59.18°, 1.561 Å, I 9
60.64°, 1.527 Å, I 14
73.47°, 1.289 Å, I 17
77.49°, 1.232 Å, I 15

Entry 4:
For Tb2Er2S3, a GGA-PBE-relaxed structure gives the theoretical X-ray diffraction stick pattern in this record (λ = 1.5418 Å (Cu Kα)).
Neutral-atom scattering factors, no anomalous dispersion.

Structure:
Cell lengths 6.6652, 6.6652, 6.6945 Å; angles 99.51, 99.51, 33.40 degrees
Sites, in units of the cell vectors:
1 Tb 0.1241 0.1241 0.3800
2 Tb 0.8759 0.8759 0.6200
3 Er 0.3736 0.3736 0.1225
4 Er 0.6264 0.6264 0.8775
5 S 0.0000 0.0000 0.0000
6 S 0.2518 0.2518 0.7561
7 S 0.7482 0.7482 0.2439

Principal peaks in the range 10 to 90 degrees two-theta, by angle:
28.35°, 3.148 Å, I 78
28.45°, 3.137 Å, I 78
32.77°, 2.733 Å, I 51
32.98°, 2.716 Å, I 100
47.18°, 1.926 Å, I 91
47.47°, 1.915 Å, I 18
55.89°, 1.645 Å, I 19
56.04°, 1.641 Å, I 24
56.22°, 1.636 Å, I 24
58.88°, 1.568 Å, I 19

Entry 5:
For Er3Ge2Pt6, a GGA-PBE-relaxed structure gives the theoretical X-ray diffraction stick pattern in this record (λ = 1.5418 Å (Cu Kα)).
Neutral-atom scattering factors, no anomalous dispersion.

Structure:
Cell lengths 8.1996, 8.1996, 8.1996 Å; angles 109.47, 109.47, 109.47 degrees
Sites, in units of the cell vectors:
1 Er 0.0000 0.2939 0.2939
2 Er 0.0000 0.7061 0.7061
3 Er 0.2939 0.0000 0.2939
4 Er 0.2939 0.2939 0.0000
5 Er 0.7061 0.0000 0.7061
6 Er 0.7061 0.7061 0.0000
7 Ge 0.0000 0.0000 0.5000
8 Ge 0.0000 0.5000 0.0000
9 Ge 0.5000 0.0000 0.0000
10 Ge 0.5000 0.5000 0.5000
11 Pt 0.0000 0.3241 0.6759
12 Pt 0.0000 0.6759 0.3241
13 Pt 0.3241 0.0000 0.6759
14 Pt 0.3241 0.3241 0.6482
15 Pt 0.3241 0.6482 0.3241
16 Pt 0.3241 0.6759 0.0000
17 Pt 0.3518 0.6759 0.6759
18 Pt 0.6482 0.3241 0.3241
19 Pt 0.6759 0.0000 0.3241
20 Pt 0.6759 0.3241 0.0000
21 Pt 0.6759 0.3518 0.6759
22 Pt 0.6759 0.6759 0.3518

Principal peaks in the range 10 to 90 degrees two-theta, by angle:
13.22°, 6.695 Å, I 23
29.84°, 2.994 Å, I 14
35.48°, 2.530 Å, I 30
38.02°, 2.367 Å, I 13
40.42°, 2.232 Å, I 100
58.49°, 1.578 Å, I 12
60.26°, 1.536 Å, I 17
65.38°, 1.427 Å, I 10
73.50°, 1.288 Å, I 27
87.40°, 1.116 Å, I 10

Entry 6:
For NaPa3Mn4N12, a GGA-PBE-relaxed structure gives the theoretical X-ray diffraction stick pattern in this record (λ = 1.5418 Å (Cu Kα)).
Neutral-atom scattering factors, no anomalous dispersion.

Structure:
Cell lengths 7.1133, 7.1133, 7.1133 Å; angles 104.70, 104.70, 104.70 degrees
Sites, in units of the cell vectors:
1 Na 0.0000 0.0000 0.0000
2 Pa 0.0000 0.5495 0.4505
3 Pa 0.4505 0.0000 0.5495
4 Pa 0.5495 0.4505 0.0000
5 Mn 0.0498 0.5000 0.9502
6 Mn 0.5000 0.5000 0.5000
7 Mn 0.5000 0.9502 0.0498
8 Mn 0.9502 0.0498 0.5000
9 N 0.0319 0.6334 0.7873
10 N 0.1067 0.8933 0.5000
11 N 0.2127 0.3666 0.9681
12 N 0.3446 0.6554 0.5000
13 N 0.3666 0.9681 0.2127
14 N 0.5000 0.1067 0.8933
15 N 0.5000 0.3446 0.6554
16 N 0.6334 0.7873 0.0319
17 N 0.6554 0.5000 0.3446
18 N 0.7873 0.0319 0.6334
19 N 0.8933 0.5000 0.1067
20 N 0.9681 0.2127 0.3666

Principal peaks in the range 10 to 90 degrees two-theta, by angle:
13.68°, 6.471 Å, I 26
15.74°, 5.632 Å, I 52
20.91°, 4.248 Å, I 41
26.28°, 3.392 Å, I 43
27.57°, 3.235 Å, I 100
31.78°, 2.816 Å, I 32
34.74°, 2.582 Å, I 44
39.28°, 2.293 Å, I 31
45.92°, 1.976 Å, I 24
53.52°, 1.712 Å, I 23

Entry 7:
For Na4SnTe5, a GGA-PBE-relaxed structure gives the theoretical X-ray diffraction stick pattern in this record (λ = 1.5418 Å (Cu Kα)).
Neutral-atom scattering factors, no anomalous dispersion.

Structure:
Cell lengths 7.8068, 7.8068, 7.8068 Å; angles 100.14, 100.14, 130.39 degrees
Sites, in units of the cell vectors:
1 Na 0.0936 0.2989 0.3925
2 Na 0.2989 0.9064 0.2053
3 Na 0.7011 0.0936 0.7947
4 Na 0.9064 0.7011 0.6075
5 Sn 0.5865 0.5865 0.0000
6 Te 0.0133 0.0133 0.0000
7 Te 0.2254 0.5832 0.8141
8 Te 0.4113 0.2254 0.6422
9 Te 0.5832 0.7691 0.3578
10 Te 0.7691 0.4113 0.1859

Principal peaks in the range 10 to 90 degrees two-theta, by angle:
12.49°, 7.087 Å, I 27
16.16°, 5.483 Å, I 23
24.06°, 3.699 Å, I 76
27.23°, 3.275 Å, I 53
28.16°, 3.169 Å, I 100
39.57°, 2.278 Å, I 84
40.24°, 2.241 Å, I 38
46.25°, 1.963 Å, I 24
47.44°, 1.917 Å, I 21
49.27°, 1.849 Å, I 36

Entry 8:
For Sm12Ru5Pb, a GGA-PBE-relaxed structure gives the theoretical X-ray diffraction stick pattern in this record (λ = 1.5418 Å (Cu Kα)).
Neutral-atom scattering factors, no anomalous dispersion.

Structure:
Cell lengths 8.5956, 8.5956, 8.5956 Å; angles 112.63, 110.48, 105.38 degrees
Sites, in units of the cell vectors:
1 Sm 0.0369 0.2275 0.8094
2 Sm 0.1780 0.2760 0.4540
3 Sm 0.1780 0.7240 0.9020
4 Sm 0.3266 0.0116 0.6851
5 Sm 0.3266 0.6415 0.3149
6 Sm 0.4181 0.2275 0.1906
7 Sm 0.5819 0.7725 0.8094
8 Sm 0.6734 0.3585 0.6851
9 Sm 0.6734 0.9884 0.3149
10 Sm 0.8220 0.2760 0.0980
11 Sm 0.8220 0.7240 0.5460
12 Sm 0.9631 0.7725 0.1906
13 Ru 0.0000 0.0000 0.0000
14 Ru 0.1210 0.6210 0.5000
15 Ru 0.3345 0.0000 0.3345
16 Ru 0.6655 0.0000 0.6655
17 Ru 0.8790 0.3790 0.5000
18 Pb 0.5000 0.5000 0.0000

Principal peaks in the range 10 to 90 degrees two-theta, by angle:
29.55°, 3.023 Å, I 31
31.31°, 2.857 Å, I 100
33.20°, 2.699 Å, I 67
33.72°, 2.658 Å, I 86
34.37°, 2.609 Å, I 47
34.73°, 2.583 Å, I 37
37.74°, 2.383 Å, I 32
56.34°, 1.633 Å, I 21
57.33°, 1.607 Å, I 24
58.81°, 1.570 Å, I 34